(1)
Computed powder X-ray diffraction pattern
Compound: Dy3URu4
Radiation: Cu Kα (λ = 1.5418 Å)
Structure: DFT lattice parameters and positions (GGA-PBE)
Lines closer than 0.1° are merged.

The 10 most intense peaks (2θ from 5° to 70°), by intensity:
| 2theta | d_spacing | I/Imax |
| --- | --- | --- |
| 37.5 | 2.396 | 100 |
| 67.7 | 1.384 | 35 |
| 54.1 | 1.695 | 17 |
| 26.3 | 3.389 | 8 |
| 61.1 | 1.516 | 4 |
| 46.4 | 1.957 | 3 |
| 18.5 | 4.793 | 2 |
| 32.4 | 2.767 | 1 |
| 50.4 | 1.812 | 1 |
| 42.2 | 2.143 | 1 |

Crystal structure
a = 5.870 Å, b = 5.870 Å, c = 5.870 Å
α = 109.47°, β = 109.47°, γ = 109.47°
Positions (direct):
Dy  0.000  0.500  0.500
Dy  0.500  0.000  0.500
Dy  0.500  0.500  0.000
U  0.000  0.000  0.000
Ru  0.000  0.000  0.500
Ru  0.000  0.500  0.000
Ru  0.500  0.000  0.000
Ru  0.500  0.500  0.500



(2)
Computed powder X-ray diffraction pattern
Compound: Dy4URu4
Radiation: Cu Kα (λ = 1.5418 Å)
Structure: DFT lattice parameters and positions (GGA-PBE)
Lines closer than 0.1° are merged.

The 10 most intense peaks (2θ from 5° to 70°), by intensity:
| 2theta | d_spacing | I/Imax |
| --- | --- | --- |
| 34.1 | 2.630 | 100 |
| 32.7 | 2.741 | 73 |
| 33.4 | 2.681 | 58 |
| 39.7 | 2.268 | 46 |
| 30.3 | 2.945 | 46 |
| 39.2 | 2.299 | 37 |
| 49.0 | 1.857 | 33 |
| 26.3 | 3.390 | 31 |
| 36.0 | 2.496 | 30 |
| 18.3 | 4.853 | 28 |

Crystal structure
a = 7.966 Å, b = 5.755 Å, c = 11.189 Å
α = 90.00°, β = 126.21°, γ = 90.00°
Positions (direct):
Dy  0.170  0.134  0.189
Dy  0.170  0.866  0.689
Dy  0.253  0.369  0.920
Dy  0.253  0.631  0.420
Dy  0.747  0.369  0.580
Dy  0.747  0.631  0.080
Dy  0.830  0.134  0.311
Dy  0.830  0.866  0.811
U  0.500  0.306  0.750
U  0.500  0.694  0.250
Ru  0.136  0.363  0.609
Ru  0.136  0.637  0.109
Ru  0.359  0.118  0.515
Ru  0.359  0.882  0.015
Ru  0.641  0.118  0.985
Ru  0.641  0.882  0.485
Ru  0.864  0.363  0.891
Ru  0.864  0.637  0.391



(3)
Computed powder X-ray diffraction pattern
Compound: Dy4U2Ru5
Radiation: Cu Kα (λ = 1.5418 Å)
Structure: DFT lattice parameters and positions (GGA-PBE)
Lines closer than 0.1° are merged.

The 10 most intense peaks (2θ from 5° to 70°), by intensity:
| 2theta | d_spacing | I/Imax |
| --- | --- | --- |
| 35.8 | 2.510 | 100 |
| 34.7 | 2.582 | 82 |
| 35.3 | 2.546 | 58 |
| 36.1 | 2.491 | 47 |
| 34.4 | 2.606 | 44 |
| 36.9 | 2.437 | 33 |
| 61.0 | 1.519 | 29 |
| 56.4 | 1.632 | 24 |
| 40.4 | 2.232 | 24 |
| 18.1 | 4.897 | 23 |

Crystal structure
a = 10.349 Å, b = 10.349 Å, c = 10.349 Å
α = 130.26°, β = 61.72°, γ = 145.86°
Positions (direct):
Dy  0.056  0.754  0.810
Dy  0.136  0.120  0.256
Dy  0.364  0.620  0.984
Dy  0.444  0.254  0.698
Dy  0.556  0.746  0.302
Dy  0.636  0.380  0.016
Dy  0.864  0.880  0.744
Dy  0.944  0.246  0.190
U  0.054  0.750  0.304
U  0.446  0.750  0.696
U  0.554  0.250  0.304
U  0.946  0.250  0.696
Ru  0.083  0.437  0.520
Ru  0.223  0.828  0.051
Ru  0.250  0.250  0.000
Ru  0.277  0.328  0.605
Ru  0.417  0.937  0.355
Ru  0.583  0.063  0.645
Ru  0.723  0.672  0.395
Ru  0.750  0.750  0.000
Ru  0.777  0.172  0.949
Ru  0.917  0.563  0.480



(4)
Computed powder X-ray diffraction pattern
Compound: Dy3U2Ru6
Radiation: Cu Kα (λ = 1.5418 Å)
Structure: DFT lattice parameters and positions (GGA-PBE)
Lines closer than 0.1° are merged.

The 10 most intense peaks (2θ from 5° to 70°), by intensity:
| 2theta | d_spacing | I/Imax |
| --- | --- | --- |
| 40.1 | 2.247 | 100 |
| 32.5 | 2.752 | 72 |
| 42.4 | 2.132 | 43 |
| 64.9 | 1.437 | 35 |
| 37.7 | 2.383 | 33 |
| 35.2 | 2.548 | 26 |
| 46.7 | 1.946 | 20 |
| 29.6 | 3.015 | 16 |
| 68.1 | 1.376 | 16 |
| 54.4 | 1.685 | 15 |

Crystal structure
a = 8.256 Å, b = 8.256 Å, c = 8.256 Å
α = 109.47°, β = 109.47°, γ = 109.47°
Positions (direct):
Dy  0.000  0.288  0.288
Dy  0.000  0.712  0.712
Dy  0.288  0.000  0.288
Dy  0.288  0.288  0.000
Dy  0.712  0.000  0.712
Dy  0.712  0.712  0.000
U  0.000  0.000  0.500
U  0.000  0.500  0.000
U  0.500  0.000  0.000
U  0.500  0.500  0.500
Ru  0.000  0.346  0.654
Ru  0.000  0.654  0.346
Ru  0.307  0.654  0.654
Ru  0.346  0.000  0.654
Ru  0.346  0.346  0.693
Ru  0.346  0.654  0.000
Ru  0.346  0.693  0.346
Ru  0.654  0.000  0.346
Ru  0.654  0.307  0.654
Ru  0.654  0.346  0.000
Ru  0.654  0.654  0.307
Ru  0.693  0.346  0.346



(5)
Computed powder X-ray diffraction pattern
Compound: Dy5U2Ru5
Radiation: Cu Kα (λ = 1.5418 Å)
Structure: DFT lattice parameters and positions (GGA-PBE)
Lines closer than 0.1° are merged.

The 10 most intense peaks (2θ from 5° to 70°), by intensity:
| 2theta | d_spacing | I/Imax |
| --- | --- | --- |
| 31.7 | 2.822 | 100 |
| 37.0 | 2.427 | 78 |
| 39.3 | 2.293 | 58 |
| 34.2 | 2.620 | 52 |
| 34.4 | 2.610 | 51 |
| 26.7 | 3.334 | 40 |
| 35.8 | 2.511 | 39 |
| 31.6 | 2.832 | 32 |
| 36.6 | 2.458 | 31 |
| 39.5 | 2.280 | 30 |

Crystal structure
a = 4.893 Å, b = 5.093 Å, c = 11.914 Å
α = 79.73°, β = 78.54°, γ = 68.89°
Positions (direct):
Dy  0.000  0.000  0.000
Dy  0.180  0.197  0.452
Dy  0.283  0.316  0.155
Dy  0.717  0.684  0.845
Dy  0.820  0.803  0.548
U  0.396  0.298  0.712
U  0.604  0.702  0.288
Ru  0.242  0.863  0.701
Ru  0.337  0.363  0.909
Ru  0.500  0.500  0.500
Ru  0.663  0.637  0.091
Ru  0.758  0.137  0.299



(6)
Computed powder X-ray diffraction pattern
Compound: Dy5Y3Ru2
Radiation: Cu Kα (λ = 1.5418 Å)
Structure: DFT lattice parameters and positions (GGA-PBE)
Lines closer than 0.1° are merged.

The 10 most intense peaks (2θ from 5° to 70°), by intensity:
| 2theta | d_spacing | I/Imax |
| --- | --- | --- |
| 32.9 | 2.721 | 100 |
| 28.5 | 3.131 | 65 |
| 49.4 | 1.845 | 59 |
| 30.0 | 2.982 | 59 |
| 35.8 | 2.510 | 37 |
| 55.2 | 1.663 | 21 |
| 45.3 | 2.003 | 21 |
| 57.8 | 1.595 | 19 |
| 59.0 | 1.566 | 17 |
| 49.2 | 1.854 | 16 |

Crystal structure
a = 9.809 Å, b = 9.809 Å, c = 9.809 Å
α = 118.43°, β = 81.81°, γ = 131.79°
Positions (direct):
Dy  0.002  0.250  0.752
Dy  0.123  0.233  0.355
Dy  0.250  0.250  0.000
Dy  0.377  0.733  0.110
Dy  0.498  0.250  0.248
Dy  0.502  0.750  0.752
Dy  0.623  0.267  0.890
Dy  0.750  0.750  0.000
Dy  0.877  0.767  0.645
Dy  0.998  0.750  0.248
Y  0.126  0.765  0.891
Y  0.250  0.750  0.500
Y  0.374  0.265  0.638
Y  0.626  0.735  0.362
Y  0.750  0.250  0.500
Y  0.874  0.235  0.109
Ru  0.132  0.496  0.628
Ru  0.368  0.996  0.365
Ru  0.632  0.004  0.635
Ru  0.868  0.504  0.372